No. 1
Starting from a DFT-relaxed cell (PBE, Alexandria), the X-ray powder pattern of LiNd2PdO6 was computed for Cu Kα.
No peak broadening, texture or thermal motion is included.

Principal peaks in the range 2θ from 10° to 90°, by angle:
- d = 4.669 Å, intensity 40
- d = 2.781 Å, intensity 99
- d = 2.767 Å, intensity 100
- d = 2.722 Å, intensity 54
- d = 1.932 Å, intensity 70
- d = 1.789 Å, intensity 45

Crystal structure
Cell lengths 5.4447, 5.8623, 9.4166 Å; angles 90.00, 124.92, 90.00 degrees
Positions (direct):
Li 0.0000 0.0000 0.0000
Li 0.0000 0.5000 0.5000
Nd 0.2302 0.0774 0.7491
Nd 0.2302 0.4226 0.2491
Nd 0.7698 0.5774 0.7509
Nd 0.7698 0.9226 0.2509
Pd 0.5000 0.0000 0.5000
Pd 0.5000 0.5000 0.0000
O 0.1474 0.1875 0.4502
O 0.1474 0.3125 0.9502
O 0.2686 0.7067 0.4493
O 0.2686 0.7933 0.9493
O 0.3497 0.0286 0.2512
O 0.3497 0.4714 0.7512
O 0.6503 0.5286 0.2488
O 0.6503 0.9714 0.7488
O 0.7314 0.2067 0.0507
O 0.7314 0.2933 0.5507
O 0.8526 0.6875 0.0498
O 0.8526 0.8125 0.5498



No. 2
Starting from a DFT-relaxed cell (PBE, Alexandria), the X-ray powder pattern of Tl3ZnTe2O9 was computed for Cu Kα.
No peak broadening, texture or thermal motion is included.

Principal peaks in the range 2θ from 10° to 90°, by angle:
- d = 2.901 Å, intensity 100
- d = 2.886 Å, intensity 99
- d = 2.046 Å, intensity 55
- d = 1.669 Å, intensity 40
- d = 1.666 Å, intensity 20
- d = 1.091 Å, intensity 22

Crystal structure
Cell lengths 5.7714, 5.7714, 7.1265 Å; angles 90.00, 90.00, 120.00 degrees
Positions (direct):
Tl 0.0000 0.0000 0.0000
Tl 0.3333 0.6667 0.6563
Tl 0.6667 0.3333 0.3437
Zn 0.0000 0.0000 0.5000
Te 0.3333 0.6667 0.1746
Te 0.6667 0.3333 0.8254
O 0.0000 0.5000 0.0000
O 0.1699 0.3398 0.3191
O 0.1699 0.8301 0.3191
O 0.3398 0.1699 0.6809
O 0.5000 0.0000 0.0000
O 0.5000 0.5000 0.0000
O 0.6602 0.8301 0.3191
O 0.8301 0.1699 0.6809
O 0.8301 0.6602 0.6809



No. 3
Starting from a DFT-relaxed cell (PBE, Alexandria), the X-ray powder pattern of La3Al2Sn2 was computed for Cu Kα.
No peak broadening, texture or thermal motion is included.

Principal peaks in the range 2θ from 10° to 90°, by angle:
- d = 3.320 Å, intensity 38
- d = 3.199 Å, intensity 34
- d = 3.046 Å, intensity 100
- d = 3.020 Å, intensity 58
- d = 2.691 Å, intensity 57
- d = 2.393 Å, intensity 38

Crystal structure
Cell lengths 10.4613, 10.4613, 10.4613 Å; angles 155.58, 154.43, 35.65 degrees
Positions (direct):
La 0.0000 0.0000 0.0000
La 0.1848 0.6848 0.5000
La 0.8152 0.3152 0.5000
Al 0.4367 0.4367 0.0000
Al 0.5633 0.5633 0.0000
Sn 0.3568 0.8568 0.5000
Sn 0.6432 0.1432 0.5000



No. 4
Starting from a DFT-relaxed cell (PBE, Alexandria), the X-ray powder pattern of MgPHO9 was computed for Cu Kα.
No peak broadening, texture or thermal motion is included.

Principal peaks in the range 2θ from 10° to 90°, by angle:
- d = 3.673 Å, intensity 87
- d = 3.132 Å, intensity 81
- d = 2.927 Å, intensity 67
- d = 2.664 Å, intensity 100
- d = 2.435 Å, intensity 69
- d = 1.935 Å, intensity 35

Crystal structure
Cell lengths 5.3424, 5.3424, 5.3424 Å; angles 92.86, 92.86, 92.86 degrees
Positions (direct):
Mg 0.0000 0.0000 0.0000
P 0.6041 0.6041 0.6041
H 0.7728 0.7728 0.7728
O 0.0087 0.4098 0.0958
O 0.0742 0.1432 0.6058
O 0.0958 0.0087 0.4098
O 0.1432 0.6058 0.0742
O 0.3419 0.6819 0.6629
O 0.4098 0.0958 0.0087
O 0.6058 0.0742 0.1432
O 0.6629 0.3419 0.6819
O 0.6819 0.6629 0.3419



No. 5
Starting from a DFT-relaxed cell (PBE, Alexandria), the X-ray powder pattern of Ac4LaRh3 was computed for Cu Kα.
No peak broadening, texture or thermal motion is included.

Principal peaks in the range 2θ from 10° to 90°, by angle:
- d = 3.291 Å, intensity 100
- d = 3.269 Å, intensity 99
- d = 3.198 Å, intensity 95
- d = 2.544 Å, intensity 89
- d = 2.481 Å, intensity 39
- d = 2.143 Å, intensity 71

Crystal structure
Cell lengths 8.0903, 8.0903, 11.0356 Å; angles 110.78, 110.78, 55.09 degrees
Positions (direct):
Ac 0.0257 0.3580 0.4146
Ac 0.1619 0.8381 0.5000
Ac 0.3580 0.0257 0.9146
Ac 0.4196 0.7663 0.2047
Ac 0.6202 0.9601 0.6045
Ac 0.7663 0.4196 0.7047
Ac 0.8381 0.1619 0.0000
Ac 0.9601 0.6202 0.1045
La 0.2281 0.5711 0.8049
La 0.5711 0.2281 0.3049
Rh 0.2060 0.2096 0.6745
Rh 0.2096 0.2060 0.1745
Rh 0.5884 0.5902 0.9518
Rh 0.5902 0.5884 0.4518
Rh 0.9757 0.9975 0.2444
Rh 0.9975 0.9757 0.7444



No. 6
Starting from a DFT-relaxed cell (PBE, Alexandria), the X-ray powder pattern of Hg2TeBr3 was computed for Cu Kα.
No peak broadening, texture or thermal motion is included.

Principal peaks in the range 2θ from 10° to 90°, by angle:
- d = 6.033 Å, intensity 86
- d = 3.910 Å, intensity 38
- d = 3.315 Å, intensity 100
- d = 3.120 Å, intensity 51
- d = 3.103 Å, intensity 96
- d = 2.005 Å, intensity 46

Crystal structure
Cell lengths 7.8480, 10.2082, 12.6046 Å; angles 90.00, 123.44, 90.00 degrees
Positions (direct):
Hg 0.0315 0.1878 0.0025
Hg 0.0315 0.3122 0.5025
Hg 0.4650 0.5755 0.1306
Hg 0.4650 0.9245 0.6306
Hg 0.5350 0.0755 0.3694
Hg 0.5350 0.4245 0.8694
Hg 0.9685 0.6878 0.4975
Hg 0.9685 0.8122 0.9975
Te 0.0997 0.5724 0.1148
Te 0.0997 0.9276 0.6148
Te 0.9003 0.0724 0.3852
Te 0.9003 0.4276 0.8852
Br 0.2268 0.2450 0.2656
Br 0.2268 0.2550 0.7656
Br 0.2663 0.5103 0.5230
Br 0.2663 0.9897 0.0230
Br 0.3561 0.6497 0.8723
Br 0.3561 0.8503 0.3723
Br 0.6439 0.1497 0.6277
Br 0.6439 0.3503 0.1277
Br 0.7337 0.0103 0.9770
Br 0.7337 0.4897 0.4770
Br 0.7732 0.7450 0.2344
Br 0.7732 0.7550 0.7344



No. 7
Starting from a DFT-relaxed cell (PBE, Alexandria), the X-ray powder pattern of BaLi12Mg6 was computed for Cu Kα.
No peak broadening, texture or thermal motion is included.

Principal peaks in the range 2θ from 10° to 90°, by angle:
- d = 7.526 Å, intensity 51
- d = 4.758 Å, intensity 100
- d = 3.769 Å, intensity 95
- d = 3.211 Å, intensity 53
- d = 3.079 Å, intensity 39
- d = 3.069 Å, intensity 36

Crystal structure
Cell lengths 7.9438, 7.9438, 7.9438 Å; angles 101.66, 101.66, 101.66 degrees
Positions (direct):
Ba 0.0000 0.0000 0.0000
Li 0.1077 0.5000 0.8923
Li 0.1077 0.8923 0.5000
Li 0.1096 0.4005 0.4005
Li 0.4005 0.1096 0.4005
Li 0.4005 0.4005 0.1096
Li 0.5000 0.1077 0.8923
Li 0.5000 0.8923 0.1077
Li 0.5995 0.5995 0.8904
Li 0.5995 0.8904 0.5995
Li 0.8904 0.5995 0.5995
Li 0.8923 0.1077 0.5000
Li 0.8923 0.5000 0.1077
Mg 0.2809 0.2809 0.6972
Mg 0.2809 0.6972 0.2809
Mg 0.3028 0.7191 0.7191
Mg 0.6972 0.2809 0.2809
Mg 0.7191 0.3028 0.7191
Mg 0.7191 0.7191 0.3028